# 1
Structure and computed powder X-ray diffraction pattern of Na2FeCuC6N6 (a crystal structure in the Materials Project, relaxed with GGA-PBE; Cu Kα (λ = 1.5418 Å)).

Structural model:
```
data_Na2FeCuC6N6
_symmetry_space_group_name_H-M 'F m -3 m'
_symmetry_Int_Tables_number 225
_symmetry_space_group_name_Hall '-F 4 2 3'
_cell_length_a 10.2470
_cell_length_b 10.2470
_cell_length_c 10.2470
_cell_angle_alpha 90.00
_cell_angle_beta 90.00
_cell_angle_gamma 90.00
loop_
_atom_site_label
_atom_site_fract_x
_atom_site_fract_y
_atom_site_fract_z
Na1 0.2500 0.2500 0.2500
Fe1 0.0000 0.0000 0.0000
Cu1 0.0000 0.0000 0.5000
C1 0.0000 0.0000 0.1823
N1 0.0000 0.0000 0.2974
```

Principal peaks in the range 2θ from 15° to 90°, by angle:
2θ = 17.3°, rel. 100, (2 0 0)
2θ = 24.6°, rel. 86, (2 2 0)
2θ = 35.0°, rel. 59, (4 0 0)
2θ = 39.3°, rel. 20, (4 2 0)
2θ = 43.3°, rel. 22, (4 2 2)
2θ = 50.4°, rel. 27, (4 4 0)
2θ = 53.7°, rel. 10, (6 0 0)
2θ = 56.8°, rel. 29, (6 2 0)
2θ = 68.5°, rel. 21, (6 4 2)
2θ = 79.3°, rel. 9, (6 6 0)

=====

# 2
Structure and computed powder X-ray diffraction pattern of Rb2FeCuC6N6 (a crystal structure in the Materials Project, relaxed with GGA-PBE; Cu Kα (λ = 1.5418 Å)).

Structural model:
```
data_Rb2FeCuC6N6
_symmetry_space_group_name_H-M 'F m -3 m'
_symmetry_Int_Tables_number 225
_symmetry_space_group_name_Hall '-F 4 2 3'
_cell_length_a 10.3136
_cell_length_b 10.3136
_cell_length_c 10.3136
_cell_angle_alpha 90.00
_cell_angle_beta 90.00
_cell_angle_gamma 90.00
loop_
_atom_site_label
_atom_site_fract_x
_atom_site_fract_y
_atom_site_fract_z
Rb1 0.2500 0.2500 0.2500
Fe1 0.0000 0.0000 0.0000
Cu1 0.0000 0.0000 0.5000
C1 0.0000 0.0000 0.1821
N1 0.0000 0.0000 0.2965
```

Principal peaks in the range 2θ from 15° to 90°, by angle:
2θ = 24.4°, rel. 100, (2 2 0)
2θ = 30.0°, rel. 13, (2 2 2)
2θ = 34.8°, rel. 43, (4 0 0)
2θ = 43.0°, rel. 33, (4 2 2)
2θ = 50.0°, rel. 23, (4 4 0)
2θ = 56.4°, rel. 27, (6 2 0)
2θ = 68.0°, rel. 24, (6 4 2)
2θ = 78.7°, rel. 11, (6 6 0)
2θ = 83.9°, rel. 7, (8 4 0)
2θ = 89.0°, rel. 8, (6 6 4)

=====

# 3
Structure and computed powder X-ray diffraction pattern of CuH6CI3N (a crystal structure in the Materials Project, relaxed with GGA-PBE; Cu Kα (λ = 1.5418 Å)).

Structural model:
```
data_CuH6CI3N
_symmetry_space_group_name_H-M 'P n m a'
_symmetry_Int_Tables_number 62
_cell_length_a 8.3535
_cell_length_b 10.9782
_cell_length_c 9.3429
_cell_angle_alpha 90.00
_cell_angle_beta 90.00
_cell_angle_gamma 90.00
loop_
_symmetry_equiv_pos_as_xyz
'x,y,z'
'-x,-y,-z'
'-x+1/2,-y,z+1/2'
'x+1/2,y,-z+1/2'
'x+1/2,-y+1/2,-z+1/2'
'-x+1/2,y+1/2,z+1/2'
'-x,y+1/2,-z'
'x,-y+1/2,z'
loop_
_atom_site_label
_atom_site_fract_x
_atom_site_fract_y
_atom_site_fract_z
Cu1 0.0000 0.0000 0.0000
H1 0.0042 0.1742 0.3588
H2 0.0057 0.1683 0.6192
H3 0.1631 0.2500 0.4231
H4 0.1649 0.7500 0.4479
C1 0.0344 0.7500 0.4373
I1 0.0288 0.7500 0.0042
I2 0.2307 0.0131 0.1749
N1 0.0388 0.2500 0.4170
```

Principal peaks in the range 2θ from 15° to 90°, by angle:
2θ = 16.1°, rel. 40, (0 2 0)
2θ = 21.8°, rel. 65, (1 0 2)
2θ = 25.0°, rel. 58, (0 2 2)
2θ = 26.8°, rel. 100, (2 2 0)
2θ = 27.2°, rel. 82, (1 2 2)
2θ = 28.7°, rel. 100, (2 0 2)
2θ = 32.6°, rel. 66, (0 4 0)
2θ = 35.8°, rel. 32, (1 4 1)
2θ = 43.5°, rel. 28, (1 2 4)
2θ = 44.0°, rel. 58, (2 4 2)

=====

# 4
Structure and computed powder X-ray diffraction pattern of LiCuHCO4 (a crystal structure in the Materials Project, relaxed with GGA-PBE; Cu Kα (λ = 1.5418 Å)).

Structural model:
```
data_LiCuHCO4
_symmetry_space_group_name_H-M 'P 63/m'
_symmetry_Int_Tables_number 176
_symmetry_space_group_name_Hall '-P 6c'
_cell_length_a 10.6741
_cell_length_b 10.6741
_cell_length_c 5.9438
_cell_angle_alpha 90.00
_cell_angle_beta 90.00
_cell_angle_gamma 120.00
loop_
_atom_site_label
_atom_site_fract_x
_atom_site_fract_y
_atom_site_fract_z
Li1 0.1613 0.7956 0.2500
Cu1 0.0000 0.5000 0.0000
H1 0.2039 0.5916 0.2500
C1 0.1911 0.7786 0.7500
O1 0.0845 0.3591 0.7500
O2 0.1168 0.4969 0.2500
O3 0.1481 0.7086 0.5586
```

Principal peaks in the range 2θ from 15° to 90°, by angle:
2θ = 16.6°, rel. 59, (1 1 0)
2θ = 19.2°, rel. 100, (2 0 0)
2θ = 33.6°, rel. 29, (2 2 0)
2θ = 35.9°, rel. 57, (2 0 2)
2θ = 39.0°, rel. 15, (4 0 0)
2θ = 39.8°, rel. 22, (1 2 2)
2θ = 45.7°, rel. 21, (2 2 2)
2θ = 50.0°, rel. 26, (4 0 2)
2θ = 52.4°, rel. 26, (4 2 0)
2θ = 61.6°, rel. 27, (4 2 2)